1.
The following is a calculated powder X-ray diffraction pattern of Cs2FeHgI6. It was derived from a cell relaxed with GGA-PBE, using Cu Kα (weighted mean of Kα1 and Kα2).
No peak broadening, texture or thermal motion is included.

Cell and atoms:
a b c (Å): 8.416 8.416 12.107
angles (deg): 90.00 90.00 90.00
Space group I4/mmm (No. 139)
Unique sites:
1 Cs 0.000 0.500 0.250 (multiplicity 4)
2 Fe 0.000 0.000 0.000 (multiplicity 2)
3 Hg 0.000 0.000 0.500 (multiplicity 2)
4 I 0.000 0.000 0.222 (multiplicity 4)
5 I 0.243 0.243 0.000 (multiplicity 8)

Top 10 peaks for 2θ from 10° to 90°, low angle first:
- 14.9 deg, rel. 21, (1 1 0)
- 20.9 deg, rel. 24, (1 1 2)
- 25.8 deg, rel. 100, (2 0 2)
- 29.5 deg, rel. 48, (0 0 4)
- 30.0 deg, rel. 99, (2 2 0)
- 42.6 deg, rel. 69, (2 2 4)
- 43.0 deg, rel. 37, (4 0 0)
- 50.8 deg, rel. 29, (4 2 2)
- 53.0 deg, rel. 36, (4 0 4)
- 78.5 deg, rel. 22, (6 2 4)

***

2.
The following is a calculated powder X-ray diffraction pattern of CsFe2I6. It was derived from a cell relaxed with GGA-PBE, using Cu Kα (weighted mean of Kα1 and Kα2).
No peak broadening, texture or thermal motion is included.

Cell and atoms:
a b c (Å): 15.382 16.971 7.198
angles (deg): 90.00 95.92 90.00
Space group C2/c (No. 15)
Unique sites:
1 Cs 0.000 0.128 0.250 (multiplicity 4)
2 Fe 0.202 0.430 0.219 (multiplicity 8)
3 I 0.124 0.313 0.061 (multiplicity 8)
4 I 0.131 0.082 0.759 (multiplicity 8)
5 I 0.150 0.436 0.561 (multiplicity 8)

Top 10 peaks for 2θ from 10° to 90°, low angle first:
- 10.4 deg, rel. 45, (0 2 0)
- 18.2 deg, rel. 55, (3 1 0)
- 21.2 deg, rel. 49, (1 3 1)
- 23.3 deg, rel. 50, (4 0 0)
- 25.5 deg, rel. 100, (1 1 -2)
- 25.8 deg, rel. 51, (3 3 -1)
- 27.4 deg, rel. 46, (4 2 -1)
- 27.6 deg, rel. 64, (2 4 1)
- 36.7 deg, rel. 47, (5 3 1)
- 43.5 deg, rel. 41, (0 4 3)

***

3.
The following is a calculated powder X-ray diffraction pattern of CsLiFeI4. It was derived from a cell relaxed with GGA-PBE, using Cu Kα (weighted mean of Kα1 and Kα2).
No peak broadening, texture or thermal motion is included.

Cell and atoms:
a b c (Å): 6.663 8.269 11.099
angles (deg): 90.00 107.26 90.00
Space group P2_1/m (No. 11)
Unique sites:
1 Cs 0.170 0.250 0.366 (multiplicity 2)
2 Li 0.396 0.250 0.991 (multiplicity 2)
3 Fe 0.333 0.750 0.209 (multiplicity 2)
4 I 0.019 0.750 0.004 (multiplicity 2)
5 I 0.233 0.750 0.419 (multiplicity 2)
6 I 0.426 0.501 0.802 (multiplicity 4)

Top 10 peaks for 2θ from 10° to 90°, low angle first:
- 24.9 deg, rel. 100, (1 0 -3)
- 25.7 deg, rel. 90, (1 2 -1)
- 26.8 deg, rel. 37, (2 0 -1)
- 27.4 deg, rel. 24, (0 2 2)
- 33.4 deg, rel. 21, (0 2 3)
- 38.7 deg, rel. 32, (2 2 -3)
- 43.2 deg, rel. 15, (2 2 2)
- 43.8 deg, rel. 15, (0 4 0)
- 46.6 deg, rel. 15, (3 2 -1)
- 51.0 deg, rel. 27, (1 4 -3)

***

4.
The following is a calculated powder X-ray diffraction pattern of CsRbFe2I6. It was derived from a cell relaxed with GGA-PBE, using Cu Kα (weighted mean of Kα1 and Kα2).
No peak broadening, texture or thermal motion is included.

Cell and atoms:
a b c (Å): 16.038 15.510 8.253
angles (deg): 90.00 102.94 90.00
Space group C2/c (No. 15)
Unique sites:
1 Cs 0.000 0.171 0.250 (multiplicity 4)
2 Rb 0.000 0.395 0.750 (multiplicity 4)
3 Fe 0.215 0.082 0.752 (multiplicity 8)
4 I 0.119 0.407 0.187 (multiplicity 8)
5 I 0.150 0.232 0.666 (multiplicity 8)
6 I 0.153 0.033 0.015 (multiplicity 8)

Top 10 peaks for 2θ from 10° to 90°, low angle first:
- 18.0 deg, rel. 87, (2 2 -1)
- 20.9 deg, rel. 32, (2 2 1)
- 21.9 deg, rel. 88, (1 3 1)
- 25.0 deg, rel. 100, (3 3 -1)
- 25.4 deg, rel. 48, (3 1 -2)
- 25.7 deg, rel. 64, (4 2 -1)
- 27.1 deg, rel. 43, (2 0 2)
- 29.4 deg, rel. 44, (1 5 0)
- 34.8 deg, rel. 52, (2 2 -3)
- 37.4 deg, rel. 59, (5 3 1)